Structure and computed XRD peak list of LiNiP3O9 (the PBE+U geometry in the Materials Project; Cu Kα, 1.54184 Å).

The 6 most intense peaks (10° ≤ 2θ ≤ 90°), low angle first:
| Position (°2θ) | d [Å] | Rel. int. | index |
| --- | --- | --- | --- |
| 17.18 | 5.161 | 100 | 0 1 2 |
| 20.24 | 4.388 | 55 | 1 1 1 |
| 24.90 | 3.576 | 69 | 1 2 1 |
| 30.31 | 2.949 | 84 | 0 0 4 |
| 31.24 | 2.863 | 54 | 1 3 1 |
| 33.98 | 2.638 | 60 | 2 0 0 |

Unit cell a=5.271 b=10.686 c=11.789 alpha=90.00 beta=90.00 gamma=90.00
Space group P2_12_12_1 (No. 19)
Inequivalent atoms, fractional coordinates:
1 Li 0.101 0.116 0.081 [4 per cell]
2 Ni 0.097 0.466 0.132 [4 per cell]
3 P 0.083 0.190 0.821 [4 per cell]
4 P 0.109 0.849 0.861 [4 per cell]
5 P 0.125 0.575 0.877 [4 per cell]
6 O 0.007 0.488 0.963 [4 per cell]
7 O 0.049 0.440 0.573 [4 per cell]
8 O 0.068 0.317 0.749 [4 per cell]
9 O 0.089 0.088 0.721 [4 per cell]
10 O 0.126 0.716 0.927 [4 per cell]
11 O 0.129 0.114 0.323 [4 per cell]
12 O 0.130 0.461 0.320 [4 per cell]
13 O 0.157 0.683 0.609 [4 per cell]
14 O 0.168 0.818 0.381 [4 per cell]